Record 1
For Na5Fe2P2C2O14, the PBE+U geometry in the Materials Project gives the computed powder diffractogram in this record (CuKα).

Atomic structure:
a = 10.378 Å, b = 6.613 Å, c = 10.502 Å
α = 90.00°, β = 120.06°, γ = 90.00°
Element x y z (fractional)
Na: 0.000 0.001 0.000
Na: 0.000 0.999 0.500
Na: 0.161 0.491 0.844
Na: 0.161 0.509 0.344
Na: 0.348 0.249 0.184
Na: 0.348 0.249 0.684
Na: 0.348 0.751 0.184
Na: 0.348 0.751 0.684
Na: 0.821 0.234 0.169
Na: 0.821 0.766 0.669
Fe: 0.441 0.001 0.494
Fe: 0.441 0.999 0.994
Fe: 0.740 0.496 0.861
Fe: 0.740 0.504 0.361
P: 0.507 0.500 0.493
P: 0.507 0.500 0.993
P: 0.669 0.002 0.368
P: 0.669 0.998 0.868
C: 0.025 0.499 0.531
C: 0.025 0.501 0.031
C: 0.150 0.004 0.323
C: 0.150 0.996 0.823
O: 0.010 0.015 0.243
O: 0.010 0.985 0.743
O: 0.168 0.500 0.113
O: 0.168 0.500 0.613
O: 0.214 0.002 0.968
O: 0.214 0.998 0.468
O: 0.237 0.002 0.765
O: 0.237 0.998 0.265
O: 0.406 0.316 0.973
O: 0.406 0.684 0.473
O: 0.410 0.315 0.476
O: 0.410 0.685 0.976
O: 0.520 0.001 0.722
O: 0.520 0.999 0.222
O: 0.548 0.499 0.367
O: 0.548 0.501 0.867
O: 0.640 0.002 0.498
O: 0.640 0.998 0.998
O: 0.654 0.493 0.144
O: 0.654 0.507 0.644
O: 0.764 0.190 0.374
O: 0.764 0.810 0.874
O: 0.765 0.191 0.885
O: 0.765 0.809 0.385
O: 0.937 0.488 0.085
O: 0.937 0.512 0.585
O: 0.961 0.484 0.388
O: 0.961 0.516 0.888

Top 6 peaks for 10 to 80 degrees two-theta, most intense first:
hkl 0 2 0, 2θ 26.97, rel. 1000; hkl 0 2 2, 2θ 33.54, rel. 654; hkl 2 0 -4, 2θ 34.15, rel. 616; hkl 2 2 0, 2θ 33.66, rel. 456; hkl 1 1 0, 2θ 16.63, rel. 410; hkl 0 0 2, 2θ 19.53, rel. 408


Record 2
For Na2FePCO7, the PBE+U geometry in the Materials Project gives the computed powder diffractogram in this record (CuKα).

Atomic structure:
a = 5.209 Å, b = 6.561 Å, c = 17.821 Å
α = 90.00°, β = 90.30°, γ = 90.00°
Element x y z (fractional)
Na: 0.235 0.244 0.290
Na: 0.235 0.256 0.790
Na: 0.251 0.510 0.619
Na: 0.251 0.990 0.119
Na: 0.749 0.010 0.881
Na: 0.749 0.490 0.381
Na: 0.765 0.744 0.210
Na: 0.765 0.756 0.710
Fe: 0.215 0.738 0.923
Fe: 0.215 0.762 0.423
Fe: 0.785 0.238 0.577
Fe: 0.785 0.262 0.077
P: 0.293 0.248 0.961
P: 0.293 0.252 0.461
P: 0.707 0.748 0.539
P: 0.707 0.752 0.039
C: 0.270 0.747 0.282
C: 0.270 0.753 0.782
C: 0.730 0.247 0.218
C: 0.730 0.253 0.718
O: 0.044 0.741 0.315
O: 0.044 0.759 0.815
O: 0.135 0.243 0.035
O: 0.135 0.257 0.535
O: 0.229 0.062 0.910
O: 0.229 0.438 0.410
O: 0.234 0.062 0.413
O: 0.234 0.438 0.913
O: 0.293 0.740 0.711
O: 0.293 0.760 0.211
O: 0.417 0.739 0.517
O: 0.417 0.761 0.017
O: 0.467 0.741 0.328
O: 0.467 0.759 0.828
O: 0.533 0.241 0.172
O: 0.533 0.259 0.672
O: 0.583 0.239 0.983
O: 0.583 0.261 0.483
O: 0.707 0.240 0.789
O: 0.707 0.260 0.289
O: 0.766 0.562 0.087
O: 0.766 0.938 0.587
O: 0.771 0.562 0.590
O: 0.771 0.938 0.090
O: 0.865 0.743 0.465
O: 0.865 0.757 0.965
O: 0.956 0.241 0.185
O: 0.956 0.259 0.685

Top 6 peaks for 10 to 80 degrees two-theta, most intense first:
hkl 1 0 -2, 2θ 19.74, rel. 1000; hkl 0 2 0, 2θ 27.18, rel. 997; hkl 2 0 0, 2θ 34.43, rel. 439; hkl 1 2 -2, 2θ 33.82, rel. 421; hkl 0 1 2, 2θ 16.78, rel. 316; hkl 0 2 4, 2θ 33.94, rel. 286


Record 3
For Na2FePCO7, the PBE+U geometry in the Materials Project gives the computed powder diffractogram in this record (CuKα).

Atomic structure:
a = 5.292 Å, b = 6.527 Å, c = 8.966 Å
α = 90.09°, β = 91.73°, γ = 90.03°
Element x y z (fractional)
Na: 0.000 0.000 0.000
Na: 0.018 0.258 0.651
Na: 0.513 0.757 0.188
Na: 0.531 0.500 0.838
Fe: 0.547 0.974 0.575
Fe: 0.984 0.474 0.265
P: 0.044 0.982 0.345
P: 0.487 0.482 0.494
C: 0.044 0.487 0.988
C: 0.486 0.987 0.851
O: 0.079 0.471 0.849
O: 0.202 0.471 0.448
O: 0.232 0.500 0.087
O: 0.297 0.000 0.753
O: 0.329 0.970 0.392
O: 0.453 0.968 0.990
O: 0.538 0.671 0.597
O: 0.555 0.294 0.594
O: 0.646 0.493 0.353
O: 0.712 0.991 0.794
O: 0.817 0.488 0.044
O: 0.886 0.993 0.487
O: 0.976 0.794 0.246
O: 0.993 0.169 0.242

Top 6 peaks for 10 to 80 degrees two-theta, most intense first:
hkl 0 2 0, 2θ 27.33, rel. 1000; hkl 2 0 0, 2θ 33.92, rel. 782; hkl 1 0 1, 2θ 19.75, rel. 594; hkl 1 0 -1, 2θ 19.22, rel. 536; hkl 0 1 1, 2θ 16.80, rel. 464; hkl 1 0 -3, 2θ 34.01, rel. 350


Record 4
For Na3FePCO7, the PBE+U geometry in the Materials Project gives the computed powder diffractogram in this record (CuKα).

Atomic structure:
a = 5.301 Å, b = 11.236 Å, c = 11.238 Å
α = 73.55°, β = 89.98°, γ = 89.98°
Element x y z (fractional)
Na: 0.000 0.000 0.000
Na: 0.000 0.500 0.500
Na: 0.015 0.245 0.745
Na: 0.015 0.745 0.245
Na: 0.064 0.713 0.947
Na: 0.065 0.213 0.448
Na: 0.504 0.502 0.996
Na: 0.505 0.002 0.496
Na: 0.510 0.249 0.243
Na: 0.510 0.749 0.744
Na: 0.949 0.298 0.032
Na: 0.950 0.798 0.532
Fe: 0.477 0.523 0.271
Fe: 0.478 0.023 0.771
Fe: 0.536 0.474 0.723
Fe: 0.537 0.974 0.223
P: 0.492 0.202 0.950
P: 0.492 0.702 0.450
P: 0.522 0.296 0.543
P: 0.522 0.796 0.043
C: 0.006 0.546 0.795
C: 0.007 0.047 0.295
C: 0.007 0.450 0.199
C: 0.008 0.950 0.699
O: 0.069 0.017 0.771
O: 0.069 0.517 0.271
O: 0.183 0.400 0.147
O: 0.184 0.900 0.647
O: 0.205 0.189 0.941
O: 0.205 0.689 0.440
O: 0.243 0.568 0.813
O: 0.244 0.068 0.313
O: 0.384 0.375 0.618
O: 0.384 0.876 0.118
O: 0.424 0.659 0.092
O: 0.425 0.159 0.591
O: 0.437 0.342 0.404
O: 0.437 0.842 0.904
O: 0.577 0.341 0.904
O: 0.577 0.841 0.404
O: 0.589 0.654 0.586
O: 0.590 0.154 0.086
O: 0.631 0.128 0.870
O: 0.631 0.627 0.370
O: 0.770 0.432 0.177
O: 0.771 0.932 0.677
O: 0.810 0.305 0.556
O: 0.810 0.805 0.056
O: 0.830 0.598 0.845
O: 0.831 0.098 0.345
O: 0.945 0.474 0.728
O: 0.946 0.974 0.228

Top 6 peaks for 10 to 80 degrees two-theta, most intense first:
hkl 1 3 -1, 2θ 33.07, rel. 1000; hkl 0 2 -2, 2θ 26.50, rel. 706; hkl -1 3 3, 2θ 34.35, rel. 628; hkl 1 0 0, 2θ 16.72, rel. 509; hkl 2 0 0, 2θ 33.82, rel. 439; hkl 2 0 4, 2θ 48.16, rel. 404


Record 5
For Na2FePCO7, the PBE+U geometry in the Materials Project gives the computed powder diffractogram in this record (CuKα).

Atomic structure:
a = 5.245 Å, b = 6.551 Å, c = 17.904 Å
α = 90.71°, β = 90.46°, γ = 90.17°
Element x y z (fractional)
Na: 0.000 0.000 0.000
Na: 0.001 0.023 0.499
Na: 0.014 0.731 0.327
Na: 0.015 0.255 0.827
Na: 0.511 0.755 0.091
Na: 0.513 0.753 0.591
Na: 0.525 0.462 0.418
Na: 0.526 0.501 0.918
Fe: 0.546 0.005 0.286
Fe: 0.546 0.979 0.786
Fe: 0.979 0.476 0.632
Fe: 0.979 0.481 0.132
P: 0.052 0.987 0.671
P: 0.052 0.989 0.171
P: 0.473 0.489 0.747
P: 0.473 0.497 0.247
C: 0.033 0.495 0.992
C: 0.033 0.505 0.491
C: 0.493 0.980 0.427
C: 0.493 0.997 0.927
O: 0.000 0.180 0.124
O: 0.002 0.174 0.621
O: 0.061 0.482 0.922
O: 0.062 0.512 0.421
O: 0.186 0.478 0.724
O: 0.187 0.508 0.224
O: 0.226 0.498 0.539
O: 0.227 0.500 0.039
O: 0.299 0.006 0.880
O: 0.299 0.988 0.380
O: 0.339 0.977 0.194
O: 0.339 0.977 0.694
O: 0.464 0.972 0.497
O: 0.465 0.976 0.997
O: 0.524 0.678 0.798
O: 0.526 0.306 0.294
O: 0.536 0.682 0.299
O: 0.539 0.302 0.796
O: 0.634 0.499 0.675
O: 0.635 0.502 0.175
O: 0.718 0.007 0.895
O: 0.719 0.987 0.395
O: 0.807 0.498 0.523
O: 0.807 0.500 0.023
O: 0.890 0.000 0.743
O: 0.890 0.985 0.243
O: 0.986 0.798 0.622
O: 0.988 0.805 0.119

Top 6 peaks for 10 to 80 degrees two-theta, most intense first:
hkl 0 2 0, 2θ 27.23, rel. 1000; hkl 2 0 0, 2θ 34.18, rel. 564; hkl 1 0 -2, 2θ 19.55, rel. 549; hkl 1 0 2, 2θ 19.69, rel. 528; hkl 0 2 -4, 2θ 33.69, rel. 346; hkl 1 0 -4, 2θ 26.07, rel. 275


Record 6
For Na2FeCSO7, the PBE+U geometry in the Materials Project gives the computed powder diffractogram in this record (CuKα).

Atomic structure:
a = 5.276 Å, b = 6.815 Å, c = 18.303 Å
α = 89.90°, β = 88.30°, γ = 89.80°
Element x y z (fractional)
Na: 0.000 0.000 0.000
Na: 0.001 0.000 0.500
Na: 0.459 0.500 0.207
Na: 0.459 0.991 0.708
Na: 0.461 0.501 0.708
Na: 0.463 0.990 0.207
Na: 0.997 0.491 0.000
Na: 0.999 0.492 0.499
Fe: 0.003 0.746 0.783
Fe: 0.007 0.746 0.283
Fe: 0.456 0.245 0.925
Fe: 0.459 0.246 0.425
C: 0.502 0.245 0.063
C: 0.503 0.246 0.563
C: 0.956 0.745 0.145
C: 0.958 0.746 0.645
S: 0.503 0.745 0.892
S: 0.504 0.746 0.393
S: 0.955 0.246 0.816
S: 0.956 0.245 0.315
O: 0.041 0.422 0.274
O: 0.042 0.423 0.775
O: 0.043 0.068 0.275
O: 0.043 0.069 0.775
O: 0.062 0.246 0.891
O: 0.063 0.246 0.390
O: 0.182 0.746 0.673
O: 0.182 0.747 0.172
O: 0.277 0.246 0.035
O: 0.279 0.246 0.534
O: 0.395 0.749 0.317
O: 0.396 0.746 0.817
O: 0.414 0.569 0.433
O: 0.416 0.569 0.933
O: 0.416 0.923 0.933
O: 0.420 0.923 0.434
O: 0.535 0.246 0.631
O: 0.538 0.245 0.131
O: 0.670 0.245 0.323
O: 0.670 0.246 0.823
O: 0.692 0.245 0.014
O: 0.695 0.246 0.515
O: 0.767 0.742 0.194
O: 0.767 0.746 0.693
O: 0.789 0.741 0.385
O: 0.789 0.745 0.885
O: 0.917 0.745 0.077
O: 0.923 0.746 0.577

Top 6 peaks for 10 to 80 degrees two-theta, most intense first:
hkl 0 2 0, 2θ 26.16, rel. 1000; hkl 1 0 4, 2θ 25.40, rel. 808; hkl 0 1 2, 2θ 16.22, rel. 639; hkl 2 0 0, 2θ 34.00, rel. 455; hkl 1 -2 2, 2θ 32.72, rel. 372; hkl -1 2 2, 2θ 32.94, rel. 324


What did the fourth record say?
For Na3FePCO7, the PBE+U geometry in the Materials Project gives the computed powder diffractogram in this record (CuKα).

Atomic structure:
a = 5.301 Å, b = 11.236 Å, c = 11.238 Å
α = 73.55°, β = 89.98°, γ = 89.98°
Element x y z (fractional)
Na: 0.000 0.000 0.000
Na: 0.000 0.500 0.500
Na: 0.015 0.245 0.745
Na: 0.015 0.745 0.245
Na: 0.064 0.713 0.947
Na: 0.065 0.213 0.448
Na: 0.504 0.502 0.996
Na: 0.505 0.002 0.496
Na: 0.510 0.249 0.243
Na: 0.510 0.749 0.744
Na: 0.949 0.298 0.032
Na: 0.950 0.798 0.532
Fe: 0.477 0.523 0.271
Fe: 0.478 0.023 0.771
Fe: 0.536 0.474 0.723
Fe: 0.537 0.974 0.223
P: 0.492 0.202 0.950
P: 0.492 0.702 0.450
P: 0.522 0.296 0.543
P: 0.522 0.796 0.043
C: 0.006 0.546 0.795
C: 0.007 0.047 0.295
C: 0.007 0.450 0.199
C: 0.008 0.950 0.699
O: 0.069 0.017 0.771
O: 0.069 0.517 0.271
O: 0.183 0.400 0.147
O: 0.184 0.900 0.647
O: 0.205 0.189 0.941
O: 0.205 0.689 0.440
O: 0.243 0.568 0.813
O: 0.244 0.068 0.313
O: 0.384 0.375 0.618
O: 0.384 0.876 0.118
O: 0.424 0.659 0.092
O: 0.425 0.159 0.591
O: 0.437 0.342 0.404
O: 0.437 0.842 0.904
O: 0.577 0.341 0.904
O: 0.577 0.841 0.404
O: 0.589 0.654 0.586
O: 0.590 0.154 0.086
O: 0.631 0.128 0.870
O: 0.631 0.627 0.370
O: 0.770 0.432 0.177
O: 0.771 0.932 0.677
O: 0.810 0.305 0.556
O: 0.810 0.805 0.056
O: 0.830 0.598 0.845
O: 0.831 0.098 0.345
O: 0.945 0.474 0.728
O: 0.946 0.974 0.228

Top 6 peaks for 10 to 80 degrees two-theta, most intense first:
hkl 1 3 -1, 2θ 33.07, rel. 1000; hkl 0 2 -2, 2θ 26.50, rel. 706; hkl -1 3 3, 2θ 34.35, rel. 628; hkl 1 0 0, 2θ 16.72, rel. 509; hkl 2 0 0, 2θ 33.82, rel. 439; hkl 2 0 4, 2θ 48.16, rel. 404


What is the formula in the third record? Na2FePCO7